Li4Co3O7: calculated X-ray diffraction stick pattern (λ = 1.5418 Å (Cu Kα)), based on a cell relaxed with PBE+U.
Intensities are scaled so that the largest is 100.

Cell lengths 2.838, 8.065, 10.454 Å; angles 78.02, 82.33, 89.96 degrees
Sites, in units of the cell vectors:
Li: 0.000 0.000 0.000
Li: 0.000 0.500 0.000
Li: 0.136 0.072 0.715
Li: 0.283 0.644 0.432
Li: 0.431 0.200 0.141
Li: 0.569 0.800 0.859
Li: 0.717 0.356 0.568
Li: 0.864 0.928 0.285
Co: 0.145 0.572 0.715
Co: 0.286 0.142 0.427
Co: 0.421 0.720 0.142
Co: 0.579 0.280 0.858
Co: 0.714 0.858 0.573
Co: 0.855 0.428 0.285
O: 0.004 0.257 0.982
O: 0.145 0.330 0.727
O: 0.150 0.814 0.704
O: 0.278 0.899 0.444
O: 0.291 0.386 0.415
O: 0.418 0.472 0.156
O: 0.431 0.941 0.147
O: 0.569 0.059 0.853
O: 0.582 0.528 0.844
O: 0.709 0.614 0.585
O: 0.722 0.101 0.556
O: 0.850 0.186 0.296
O: 0.855 0.670 0.273
O: 0.996 0.743 0.018

Top 10 peaks for 2θ from 15° to 90°, in order of rising 2θ:
18.73 deg, d 4.737, I = 100
37.07 deg, d 2.425, I = 37
38.80 deg, d 2.321, I = 7
44.66 deg, d 2.029, I = 25
44.78 deg, d 2.024, I = 25
44.96 deg, d 2.016, I = 24
49.10 deg, d 1.855, I = 7
64.90 deg, d 1.437, I = 13
65.60 deg, d 1.423, I = 7
65.77 deg, d 1.420, I = 13